Entry 1:
Simulated XRD peak list of TbErZnRh for Cu Kα (weighted mean of Kα1 and Kα2), from a cell relaxed with GGA-PBE.
Kinematic intensities with the Lorentz-polarization factor, no thermal factor.

Structural model:
Cell: 3.4850 3.4850 7.0419 Å, 90.00 90.00 90.00°
Space group P4mm (No. 99)
One atom of each set of equivalent atoms:
1 Tb 0.0000 0.0000 0.0000
2 Er 0.0000 0.0000 0.4678
3 Zn 0.5000 0.5000 0.7279
4 Rh 0.5000 0.5000 0.2396

The 10 most intense peaks (2θ from 10° to 90°), in order of rising 2θ:
hkl 1 0 0, 2θ 25.6, I = 11; hkl 1 0 2, 2θ 36.3, I = 100; hkl 1 1 0, 2θ 36.5, I = 51; hkl 0 0 4, 2θ 51.9, I = 8; hkl 2 0 0, 2θ 52.5, I = 18; hkl 1 1 4, 2θ 65.1, I = 16; hkl 2 1 2, 2θ 65.5, I = 35; hkl 2 0 4, 2θ 77.0, I = 10; hkl 3 0 2, 2θ 88.7, I = 8; hkl 3 1 0, 2θ 88.8, I = 8

Entry 2:
Simulated XRD peak list of SmHo12Er7 for Cu Kα (weighted mean of Kα1 and Kα2), from a cell relaxed with GGA-PBE.
Kinematic intensities with the Lorentz-polarization factor, no thermal factor.

Structural model:
Cell: 11.2176 11.2176 11.2176 Å, 90.00 90.00 90.00°
Space group Im-3m (No. 229)
One atom of each set of equivalent atoms:
1 Sm 0.0000 0.0000 0.0000
2 Ho 0.0000 0.2549 0.2549
3 Er 0.0000 0.0000 0.5000
4 Er 0.2500 0.2500 0.2500

The 10 most intense peaks (2θ from 10° to 90°), in order of rising 2θ:
hkl 2 0 0, 2θ 15.8, I = 23; hkl 2 2 0, 2θ 22.4, I = 20; hkl 2 2 2, 2θ 27.5, I = 69; hkl 4 0 0, 2θ 31.9, I = 100; hkl 4 4 0, 2θ 45.8, I = 74; hkl 6 2 2, 2θ 54.2, I = 31; hkl 4 4 4, 2θ 56.9, I = 26; hkl 6 6 2, 2θ 73.6, I = 12; hkl 8 4 0, 2θ 75.9, I = 33; hkl 8 4 4, 2θ 84.7, I = 25

Entry 3:
Simulated XRD peak list of SiNiAg for Cu Kα (weighted mean of Kα1 and Kα2), from a cell relaxed with GGA-PBE.
Kinematic intensities with the Lorentz-polarization factor, no thermal factor.

Structural model:
Cell: 2.8291 2.8291 6.1822 Å, 90.00 90.00 120.00°
Space group P3m1 (No. 156)
One atom of each set of equivalent atoms:
1 Si 0.0000 0.0000 0.0000
2 Ni 0.6667 0.3333 0.7367
3 Ag 0.3333 0.6667 0.3717

The 10 most intense peaks (2θ from 10° to 90°), in order of rising 2θ:
hkl 0 0 1, 2θ 14.3, I = 24; hkl 0 0 2, 2θ 28.9, I = 19; hkl 1 0 0, 2θ 36.7, I = 13; hkl 0 1 1, 2θ 39.6, I = 100; hkl 0 0 3, 2θ 43.9, I = 17; hkl 1 0 2, 2θ 47.3, I = 48; hkl 1 1 0, 2θ 66.0, I = 17; hkl 0 1 4, 2θ 72.3, I = 16; hkl 2 0 1, 2θ 79.8, I = 12; hkl 1 1 3, 2θ 82.8, I = 15

Entry 4:
Simulated XRD peak list of Pm4Pr4Nd5 for Cu Kα (weighted mean of Kα1 and Kα2), from a cell relaxed with GGA-PBE.
Kinematic intensities with the Lorentz-polarization factor, no thermal factor.

Structural model:
Cell: 18.8229 5.1829 13.3042 Å, 90.00 134.90 90.00°
Space group C2/m (No. 12)
One atom of each set of equivalent atoms:
1 Pm 0.1540 0.0000 0.3846
2 Pm 0.2307 0.0000 0.0767
3 Pr 0.0773 0.0000 0.6938
4 Pr 0.1164 0.5000 0.5391
5 Nd 0.0000 0.0000 0.0000
6 Nd 0.0389 0.5000 0.8473
7 Nd 0.1916 0.5000 0.2305

The 10 most intense peaks (2θ from 10° to 90°), in order of rising 2θ:
hkl 5 1 -2, 2θ 29.7, I = 100; hkl 4 0 1, 2θ 34.3, I = 34; hkl 0 2 0, 2θ 34.6, I = 17; hkl 10 0 -4, 2θ 49.3, I = 12; hkl 4 2 1, 2θ 49.6, I = 24; hkl 3 1 4, 2θ 58.6, I = 15; hkl 11 1 -7, 2θ 58.7, I = 15; hkl 5 3 -2, 2θ 59.0, I = 14; hkl 10 2 -4, 2θ 61.7, I = 13; hkl 3 3 4, 2θ 80.4, I = 9

Entry 5:
Simulated XRD peak list of Sr8LiN4 for Cu Kα (weighted mean of Kα1 and Kα2), from a cell relaxed with GGA-PBE.
Kinematic intensities with the Lorentz-polarization factor, no thermal factor.

Structural model:
Cell: 13.4889 7.7810 9.9376 Å, 90.00 132.15 90.00°
Space group C2/m (No. 12)
One atom of each set of equivalent atoms:
1 Sr 0.0758 0.2471 0.3191
2 Sr 0.1732 0.0000 0.6871
3 Sr 0.1773 0.5000 0.6919
4 Li 0.0000 0.5000 0.0000
5 N 0.0000 0.2505 0.5000
6 N 0.2476 0.5000 0.4952

The 10 most intense peaks (2θ from 10° to 90°), in order of rising 2θ:
hkl 0 0 1, 2θ 12.0, I = 86; hkl 0 0 2, 2θ 24.2, I = 26; hkl 2 2 -1, 2θ 26.4, I = 30; hkl 4 0 -1, 2θ 29.0, I = 81; hkl 2 2 -2, 2θ 29.2, I = 100; hkl 2 2 1, 2θ 36.0, I = 59; hkl 4 0 -4, 2θ 36.3, I = 30; hkl 0 0 3, 2θ 36.6, I = 19; hkl 2 2 -4, 2θ 45.8, I = 18; hkl 0 4 0, 2θ 46.7, I = 43

Entry 6:
Simulated XRD peak list of Pr5FeCl5 for Cu Kα (weighted mean of Kα1 and Kα2), from a cell relaxed with GGA-PBE.
Kinematic intensities with the Lorentz-polarization factor, no thermal factor.

Structural model:
Cell: 12.7600 5.8231 8.5583 Å, 90.00 110.20 90.00°
Space group C2/m (No. 12)
One atom of each set of equivalent atoms:
1 Pr 0.0000 0.0000 0.0000
2 Pr 0.1463 0.5000 0.2911
3 Pr 0.1680 0.5000 0.8589
4 Fe 0.0000 0.5000 0.0000
5 Cl 0.0000 0.5000 0.5000
6 Cl 0.1490 0.0000 0.7942
7 Cl 0.1669 0.0000 0.3569

The 10 most intense peaks (2θ from 10° to 90°), in order of rising 2θ:
hkl 0 0 1, 2θ 11.0, I = 40; hkl 1 1 0, 2θ 16.9, I = 18; hkl 1 1 -2, 2θ 25.8, I = 37; hkl 3 1 0, 2θ 27.1, I = 35; hkl 4 0 -2, 2θ 30.5, I = 56; hkl 0 2 0, 2θ 30.7, I = 100; hkl 1 1 -3, 2θ 35.3, I = 19; hkl 4 2 -2, 2θ 43.8, I = 40; hkl 2 2 2, 2θ 44.0, I = 31; hkl 2 2 -4, 2θ 53.1, I = 18

Entry 7:
Simulated XRD peak list of ScTa4Se8 for Cu Kα (weighted mean of Kα1 and Kα2), from a cell relaxed with GGA-PBE.
Kinematic intensities with the Lorentz-polarization factor, no thermal factor.

Structural model:
Cell: 7.0632 7.0632 19.7487 Å, 90.00 90.00 120.00°
Space group R-3m (No. 166, hexagonal axes)
One atom of each set of equivalent atoms:
1 Sc 0.0000 0.0000 0.0000
2 Ta 0.0000 0.0000 0.5000
3 Ta 0.0000 0.5000 0.5000
4 Se 0.0000 0.0000 0.2496
5 Se 0.0095 0.5047 0.2512

The 10 most intense peaks (2θ from 10° to 90°), in order of rising 2θ:
hkl 0 0 3, 2θ 13.5, I = 70; hkl 0 2 1, 2θ 29.6, I = 35; hkl 0 2 4, 2θ 34.5, I = 100; hkl 2 0 5, 2θ 37.2, I = 20; hkl 2 0 8, 2θ 47.3, I = 41; hkl 2 2 0, 2θ 51.8, I = 31; hkl 2 2 3, 2θ 53.7, I = 13; hkl 4 0 4, 2θ 63.7, I = 17; hkl 2 2 12, 2θ 79.6, I = 18; hkl 2 4 4, 2θ 86.5, I = 15

Entry 8:
Simulated XRD peak list of HfZr2SnO for Cu Kα (weighted mean of Kα1 and Kα2), from a cell relaxed with GGA-PBE.
Kinematic intensities with the Lorentz-polarization factor, no thermal factor.

Structural model:
Cell: 4.6705 4.6705 4.2115 Å, 90.00 90.00 90.00°
Space group P4/mmm (No. 123)
One atom of each set of equivalent atoms:
1 Hf 0.0000 0.0000 0.0000
2 Zr 0.0000 0.5000 0.5000
3 Sn 0.5000 0.5000 0.0000
4 O 0.0000 0.0000 0.5000

The 10 most intense peaks (2θ from 10° to 90°), in order of rising 2θ:
hkl 1 0 0, 2θ 19.0, I = 5; hkl 1 1 0, 2θ 27.0, I = 7; hkl 1 1 1, 2θ 34.5, I = 100; hkl 2 0 0, 2θ 38.6, I = 42; hkl 0 0 2, 2θ 43.0, I = 16; hkl 2 2 0, 2θ 55.7, I = 14; hkl 2 0 2, 2θ 59.1, I = 24; hkl 3 1 1, 2θ 67.2, I = 29; hkl 2 2 2, 2θ 72.8, I = 13; hkl 1 1 3, 2θ 73.3, I = 11

Entry 9:
Simulated XRD peak list of VMo2Se4S2 for Cu Kα (weighted mean of Kα1 and Kα2), from a cell relaxed with GGA-PBE.
Kinematic intensities with the Lorentz-polarization factor, no thermal factor.

Structural model:
Cell: 3.2810 3.2810 21.3464 Å, 90.00 90.00 120.00°
Space group P3m1 (No. 156)
One atom of each set of equivalent atoms:
1 V 0.0000 0.0000 0.0000
2 Mo 0.0000 0.0000 0.6545
3 Mo 0.6667 0.3333 0.3172
4 Se 0.0000 0.0000 0.2381
5 Se 0.0000 0.0000 0.3964
6 Se 0.6667 0.3333 0.5754
7 Se 0.6667 0.3333 0.7337
8 S 0.6667 0.3333 0.0685
9 S 0.6667 0.3333 0.9314

The 10 most intense peaks (2θ from 10° to 90°), in order of rising 2θ:
hkl 0 0 3, 2θ 12.4, I = 100; hkl 1 0 0, 2θ 31.5, I = 38; hkl 0 1 3, 2θ 34.0, I = 13; hkl 1 0 4, 2θ 35.8, I = 30; hkl 0 1 5, 2θ 38.0, I = 59; hkl 1 0 7, 2θ 43.5, I = 36; hkl 0 1 8, 2θ 46.7, I = 31; hkl 1 1 0, 2θ 56.1, I = 28; hkl 2 0 5, 2θ 69.8, I = 10; hkl 1 1 12, 2θ 79.5, I = 15

Entry 10:
Simulated XRD peak list of Ce3AgSn5 for Cu Kα (weighted mean of Kα1 and Kα2), from a cell relaxed with GGA-PBE.
Kinematic intensities with the Lorentz-polarization factor, no thermal factor.

Structural model:
Cell: 9.2478 9.2478 6.3433 Å, 90.00 90.00 120.00°
Space group P6_3/mcm (No. 193)
One atom of each set of equivalent atoms:
1 Ce 0.0000 0.3798 0.2500
2 Ag 0.0000 0.0000 0.0000
3 Sn 0.0000 0.2744 0.7500
4 Sn 0.3333 0.6667 0.0000

The 10 most intense peaks (2θ from 10° to 90°), in order of rising 2θ:
hkl 2 1 1, 2θ 32.8, I = 53; hkl 3 0 0, 2θ 33.6, I = 87; hkl 1 1 2, 2θ 34.3, I = 100; hkl 3 1 1, 2θ 43.2, I = 17; hkl 2 2 2, 2θ 48.7, I = 28; hkl 2 1 3, 2θ 52.8, I = 14; hkl 4 1 2, 2θ 60.5, I = 25; hkl 4 2 1, 2θ 63.2, I = 12; hkl 3 0 4, 2θ 68.9, I = 22; hkl 5 1 3, 2θ 80.8, I = 13